The following is a theoretical powder diffraction line list of TbDy2Hg3. It was derived from a crystal structure in Alexandria, relaxed with PBE, using CuKα.
Neutral-atom scattering factors, no anomalous dispersion.

Atomic structure:
Cell lengths 8.342, 8.342, 7.466 Å; angles 90.00, 90.00, 143.26 degrees
Fractional coordinates of all 12 atoms:
Tb 0.166 0.834 0.000
Tb 0.834 0.166 0.000
Dy 0.167 0.833 0.500
Dy 0.500 0.500 0.000
Dy 0.500 0.500 0.500
Dy 0.833 0.167 0.500
Hg 0.000 0.000 0.252
Hg 0.000 0.000 0.748
Hg 0.334 0.666 0.251
Hg 0.334 0.666 0.749
Hg 0.666 0.334 0.251
Hg 0.666 0.334 0.749

Main lines, most intense first (2θ from 15° to 90°):
2θ (°)	I/Imax
33.99	100
60.82	30
34.10	20
60.98	15
48.90	15
71.55	12
81.59	10
48.79	7
81.73	7
81.86	3

The following is a theoretical powder diffraction line list of Tb3Dy4Hg4. It was derived from a crystal structure in Alexandria, relaxed with PBE, using CuKα.
Neutral-atom scattering factors, no anomalous dispersion.

Atomic structure:
Cell lengths 9.491, 9.491, 9.491 Å; angles 148.24, 135.50, 55.70 degrees
Fractional coordinates of all 11 atoms:
Tb 0.000 0.000 0.000
Tb 0.399 0.899 0.500
Tb 0.601 0.101 0.500
Dy 0.056 0.322 0.734
Dy 0.412 0.678 0.734
Dy 0.588 0.322 0.266
Dy 0.944 0.678 0.266
Hg 0.183 0.183 0.000
Hg 0.292 0.500 0.792
Hg 0.708 0.500 0.208
Hg 0.817 0.817 0.000

Main lines, most intense first (2θ from 15° to 90°):
2θ (°)	I/Imax
30.72	100
34.53	47
40.68	35
32.00	23
29.37	23
38.65	23
69.31	21
34.32	19
30.07	18
31.74	16